# 1
Calculated PXRD pattern
Compound: RbHSeO4
Radiation: Cu Kα (weighted mean of Kα1 and Kα2)
Structure: a structure optimized by DFT (GGA-PBE)

Structure:
```
data_RbHSeO4
_cell_length_a 4.6776
_cell_length_b 7.6653
_cell_length_c 10.7511
_cell_angle_alpha 69.15
_cell_angle_beta 77.86
_cell_angle_gamma 89.38
_space_group_name_H-M_alt 'P 1'
_space_group_IT_number 1
_space_group_name_Hall 'P 1'
loop_
_atom_site_label
_atom_site_type_symbol
_atom_site_fract_x
_atom_site_fract_y
_atom_site_fract_z
Rb1 Rb 0.0000 0.0000 0.0000
Rb2 Rb 0.1592 0.3333 0.3387
Rb3 Rb 0.5830 0.7648 0.6697
H1 H 0.1270 0.3778 0.6762
H2 H 0.4421 0.3864 0.9863
H3 H 0.7187 0.7029 0.3536
Se1 Se 0.2771 0.8442 0.3344
Se2 Se 0.5917 0.2542 0.6664
Se3 Se 0.8809 0.5084 0.0042
O1 O 0.0451 0.6963 0.8756
O2 O 0.0480 0.7367 0.2800
O3 O 0.1098 0.9066 0.4620
O4 O 0.1124 0.3454 0.0591
O5 O 0.2934 0.3646 0.7300
O6 O 0.4844 0.0155 0.2068
O7 O 0.5032 0.6675 0.4071
O8 O 0.5174 0.1960 0.5420
O9 O 0.6305 0.0702 0.7995
O10 O 0.6573 0.4051 0.9319
O11 O 0.6719 0.5549 0.1313
O12 O 0.8730 0.4160 0.6081
```

Principal peaks in the range 2θ = 15–90°, by angle:
hkl, 2θ (°), d (Å), I_rel
1 0 -1, 23.2, 3.828, 100
1 0 2, 23.5, 3.781, 57
0 2 0, 24.9, 3.569, 14
0 0 3, 27.3, 3.266, 35
0 2 -1, 29.6, 3.019, 13
1 2 0, 32.9, 2.722, 17
1 2 3, 33.2, 2.701, 19
-1 2 2, 33.3, 2.693, 18
1 -2 1, 33.4, 2.682, 19
1 0 -4, 45.7, 1.985, 13

***

# 2
Calculated PXRD pattern
Compound: RbH3Se2O6
Radiation: Cu Kα (weighted mean of Kα1 and Kα2)
Structure: a structure optimized by DFT (GGA-PBE)

Structure:
```
data_RbH3Se2O6
_cell_length_a 6.0617
_cell_length_b 6.4881
_cell_length_c 18.2776
_cell_angle_alpha 90.00
_cell_angle_beta 90.00
_cell_angle_gamma 90.00
_space_group_name_H-M_alt 'P 21 21 21'
_space_group_IT_number 19
_space_group_name_Hall 'P 2ac 2ab'
loop_
_atom_site_label
_atom_site_type_symbol
_atom_site_fract_x
_atom_site_fract_y
_atom_site_fract_z
Rb1 Rb 0.0178 0.0174 0.3369
H1 H 0.0258 0.2499 0.7194
H2 H 0.1509 0.0322 0.1345
H3 H 0.2295 0.7095 0.5135
Se1 Se 0.0194 0.9245 0.9940
Se2 Se 0.0371 0.4528 0.8536
O1 O 0.0199 0.4400 0.4132
O2 O 0.0584 0.7188 0.8283
O3 O 0.1667 0.3236 0.7865
O4 O 0.2104 0.5710 0.5410
O5 O 0.2404 0.0770 0.9762
O6 O 0.2417 0.9089 0.6750
```

Principal peaks in the range 2θ = 15–90°, by angle:
hkl, 2θ (°), d (Å), I_rel
1 1 3, 24.9, 3.583, 100
0 2 0, 27.5, 3.244, 16
0 0 6, 29.3, 3.046, 18
2 0 0, 29.5, 3.031, 12
0 2 6, 40.6, 2.221, 7
2 2 0, 40.7, 2.215, 7
2 0 6, 42.1, 2.149, 7
1 3 3, 47.0, 1.931, 6
1 1 9, 49.4, 1.846, 10
3 1 3, 49.6, 1.839, 10

***

# 3
Calculated PXRD pattern
Compound: Rb5SiHO5
Radiation: Cu Kα (weighted mean of Kα1 and Kα2)
Structure: a structure optimized by DFT (GGA-PBE)

Structure:
```
data_Rb5SiHO5
_cell_length_a 7.4930
_cell_length_b 11.0221
_cell_length_c 12.1795
_cell_angle_alpha 90.00
_cell_angle_beta 106.85
_cell_angle_gamma 90.00
_space_group_name_H-M_alt 'C 1 2/m 1'
_space_group_IT_number 12
_space_group_name_Hall '-C 2y'
loop_
_atom_site_label
_atom_site_type_symbol
_atom_site_fract_x
_atom_site_fract_y
_atom_site_fract_z
Rb1 Rb 0.0000 0.1936 0.0000
Rb2 Rb 0.1463 0.2606 0.3022
Rb3 Rb 0.2132 0.5000 0.1023
Rb4 Rb 0.2330 0.0000 0.4683
Si1 Si 0.1698 0.5000 0.8047
H1 H 0.0000 0.2831 0.5000
O1 O 0.0000 0.1947 0.5000
O2 O 0.0210 0.5000 0.6726
O3 O 0.1097 0.0000 0.2005
O4 O 0.1294 0.3766 0.8749
```

Principal peaks in the range 2θ = 15–90°, by angle:
hkl, 2θ (°), d (Å), I_rel
2 0 -1, 23.7, 3.749, 64
0 2 3, 28.1, 3.176, 100
2 2 -1, 28.8, 3.098, 36
1 3 -2, 29.5, 3.028, 42
2 2 0, 29.7, 3.006, 31
0 4 0, 32.5, 2.755, 54
2 2 -3, 32.9, 2.719, 47
2 2 2, 36.8, 2.441, 55
1 1 4, 37.4, 2.404, 44
0 0 5, 38.6, 2.333, 28

***

# 4
Calculated PXRD pattern
Compound: RbSrSiHO4
Radiation: Cu Kα (weighted mean of Kα1 and Kα2)
Structure: a structure optimized by DFT (GGA-PBE)

Structure:
```
data_RbSrSiHO4
_cell_length_a 5.8567
_cell_length_b 7.9137
_cell_length_c 5.9049
_cell_angle_alpha 90.00
_cell_angle_beta 119.25
_cell_angle_gamma 90.00
_space_group_name_H-M_alt 'P 1 21 1'
_space_group_IT_number 4
_space_group_name_Hall 'P 2yb'
loop_
_atom_site_label
_atom_site_type_symbol
_atom_site_fract_x
_atom_site_fract_y
_atom_site_fract_z
Rb1 Rb 0.1403 0.0000 0.2817
Sr1 Sr 0.4873 0.2531 0.9910
Si1 Si 0.1887 0.5143 0.3783
H1 H 0.0078 0.2752 0.4610
O1 O 0.0090 0.8373 0.6985
O2 O 0.0229 0.1710 0.7078
O3 O 0.3504 0.5069 0.2174
O4 O 0.3783 0.5084 0.6953
```

Principal peaks in the range 2θ = 15–90°, by angle:
hkl, 2θ (°), d (Å), I_rel
0 2 1, 28.5, 3.134, 100
1 2 -1, 28.6, 3.120, 100
1 0 1, 30.1, 2.974, 63
1 0 -2, 30.3, 2.952, 53
2 0 -1, 30.5, 2.928, 52
0 2 2, 41.8, 2.159, 41
2 2 0, 42.1, 2.146, 26
0 4 0, 45.9, 1.978, 23
2 2 1, 52.5, 1.743, 21
2 4 -1, 56.1, 1.639, 22

***

# 5
Calculated PXRD pattern
Compound: ReH3O5
Radiation: Cu Kα (weighted mean of Kα1 and Kα2)
Structure: a structure optimized by DFT (GGA-PBE)

Structure:
```
data_ReH3O5
_cell_length_a 5.5777
_cell_length_b 5.6050
_cell_length_c 7.7641
_cell_angle_alpha 72.74
_cell_angle_beta 70.05
_cell_angle_gamma 89.86
_space_group_name_H-M_alt 'P 1'
_space_group_IT_number 1
_space_group_name_Hall 'P 1'
loop_
_atom_site_label
_atom_site_type_symbol
_atom_site_fract_x
_atom_site_fract_y
_atom_site_fract_z
Re1 Re 0.0000 0.0000 0.0000
Re2 Re 0.2511 0.7823 0.5013
H1 H 0.3174 0.5910 0.0585
H2 H 0.5452 0.4510 0.1286
H3 H 0.6249 0.6528 0.9168
H4 H 0.6863 0.1364 0.6305
H5 H 0.8378 0.4270 0.5633
H6 H 0.8779 0.2541 0.4106
O1 O 0.0850 0.7091 0.1223
O2 O 0.2024 0.0849 0.3794
O3 O 0.2775 0.1959 0.8465
O4 O 0.3930 0.8016 0.6661
O5 O 0.4576 0.6567 0.3341
O6 O 0.4936 0.5116 0.0148
O7 O 0.7477 0.2930 0.5203
O8 O 0.8185 0.9503 0.8636
O9 O 0.8263 0.1515 0.1636
O10 O 0.9514 0.5876 0.6213
```

Principal peaks in the range 2θ = 15–90°, by angle:
hkl, 2θ (°), d (Å), I_rel
0 1 0, 16.7, 5.320, 88
1 0 0, 17.0, 5.211, 68
1 0 1, 17.3, 5.136, 62
0 1 1, 17.5, 5.058, 46
1 1 0, 25.2, 3.529, 100
1 -1 1, 25.6, 3.484, 71
0 0 2, 25.7, 3.464, 54
-1 1 1, 26.4, 3.376, 59
1 1 2, 26.7, 3.337, 60
2 0 1, 32.1, 2.792, 52